(1)
K2TbAgCl6: theoretical powder X-ray diffraction pattern (CuKα), based on a cell relaxed with PBE.

Largest 12 diffraction maxima, low angle first, 5 to 70 degrees two-theta:
2theta, Rel. int.
14.29, 7
16.51, 100
23.44, 99
33.39, 83
37.46, 51
41.19, 45
47.93, 55
51.04, 26
54.02, 20
59.67, 18
62.37, 11
65.01, 23

Unit cell a=10.7357 b=10.7357 c=10.7357 alpha=90.00 beta=90.00 gamma=90.00
Space group Fm-3m (No. 225)
Asymmetric unit:
K  0.2500  0.2500  0.2500 x8
Tb  0.0000  0.0000  0.0000 x4
Ag  0.0000  0.0000  0.5000 x4
Cl  0.0000  0.0000  0.2458 x24

(2)
SmTiFe5Co6: theoretical powder X-ray diffraction pattern (CuKα), based on a cell relaxed with PBE.

Largest 12 diffraction maxima, low angle first, 5 to 70 degrees two-theta:
2theta, Rel. int.
30.18, 24
30.31, 22
36.91, 26
37.23, 23
38.25, 20
42.35, 34
42.86, 100
43.03, 52
43.94, 37
44.06, 42
49.20, 31
61.83, 13

Unit cell a=4.7062 b=8.5371 c=8.4430 alpha=90.00 beta=90.00 gamma=90.00
Space group Imm2 (No. 44)
Asymmetric unit:
Sm  0.0000  0.0000  0.0000 x2
Ti  0.0000  0.0000  0.3782 x2
Fe  0.0000  0.5000  0.2704 x2
Fe  0.2492  0.2504  0.7503 x8
Co  0.0000  0.0000  0.6516 x2
Co  0.0000  0.2747  0.5004 x4
Co  0.0000  0.3586  0.0030 x4
Co  0.0000  0.5000  0.7286 x2

(3)
Nd2EuBeO5: theoretical powder X-ray diffraction pattern (CuKα), based on a cell relaxed with PBE.

Largest 12 diffraction maxima, low angle first, 5 to 70 degrees two-theta:
2theta, Rel. int.
28.56, 50
29.50, 83
30.80, 64
31.03, 100
31.14, 34
37.93, 54
39.91, 46
41.40, 22
45.24, 33
52.12, 30
55.85, 22
60.08, 24

Unit cell a=9.6081 b=6.6091 c=7.2879 alpha=90.00 beta=90.00 gamma=90.00
Space group Pna2_1 (No. 33)
Asymmetric unit:
Nd  0.0236  0.0961  0.0000 x4
Nd  0.1729  0.5772  0.7807 x4
Eu  0.1751  0.5833  0.2347 x4
Be  0.0992  0.3089  0.5038 x4
O  0.0096  0.5204  0.5046 x4
O  0.0670  0.1890  0.3132 x4
O  0.0665  0.1947  0.6942 x4
O  0.2229  0.8355  0.5035 x4
O  0.2284  0.8653  0.0048 x4

(4)
SnCl2: theoretical powder X-ray diffraction pattern (CuKα), based on a cell relaxed with PBE.

Largest 12 diffraction maxima, low angle first, 5 to 70 degrees two-theta:
2theta, Rel. int.
17.81, 77
21.79, 35
24.89, 100
28.28, 49
30.06, 26
31.40, 39
33.98, 47
37.71, 29
40.16, 43
40.73, 56
41.59, 30
50.39, 28

Unit cell a=9.9628 b=4.3429 c=16.3137 alpha=90.00 beta=90.08 gamma=90.00
Space group P2_1/c (No. 14)
Asymmetric unit:
Sn  0.0565  0.2280  0.3875 x4
Sn  0.4435  0.2389  0.1376 x4
Cl  0.0813  0.2439  0.1766 x4
Cl  0.1438  0.7455  0.0075 x4
Cl  0.3563  0.7497  0.2572 x4
Cl  0.4189  0.2485  0.4264 x4

(5)
LiCuP3O9: theoretical powder X-ray diffraction pattern (CuKα), based on a cell relaxed with PBE.

Largest 12 diffraction maxima, low angle first, 5 to 70 degrees two-theta:
2theta, Rel. int.
12.35, 100
14.30, 18
16.62, 21
20.77, 19
22.28, 38
23.80, 24
24.22, 25
24.50, 12
24.84, 14
29.68, 13
38.22, 17
40.30, 15

Unit cell a=7.9787 b=8.7909 c=12.3913 alpha=90.00 beta=90.00 gamma=90.00
Space group P2_12_12_1 (No. 19)
Asymmetric unit:
Li  0.0042  0.1362  0.0053 x4
Cu  0.1633  0.2923  0.3755 x4
P  0.1707  0.0089  0.8105 x4
P  0.1925  0.4974  0.6777 x4
P  0.2266  0.8183  0.1135 x4
O  0.0080  0.4218  0.6890 x4
O  0.0609  0.9008  0.1062 x4
O  0.1530  0.1004  0.6984 x4
O  0.1656  0.1999  0.5146 x4
O  0.1843  0.1158  0.9038 x4
O  0.1930  0.6546  0.1679 x4
O  0.2001  0.1136  0.2911 x4
O  0.2010  0.5919  0.5775 x4
O  0.2356  0.5618  0.7867 x4

(6)
Ba2ErCu3O7: theoretical powder X-ray diffraction pattern (CuKα), based on a cell relaxed with PBE.

Largest 12 diffraction maxima, low angle first, 5 to 70 degrees two-theta:
2theta, Rel. int.
7.50, 15
22.62, 14
32.20, 47
32.62, 100
38.16, 7
40.06, 16
46.18, 24
47.42, 14
57.68, 37
58.48, 17
67.37, 6
68.34, 14

Unit cell a=3.8348 b=3.9331 c=11.7888 alpha=90.00 beta=90.00 gamma=90.00
Space group Pmmm (No. 47)
Asymmetric unit:
Ba  0.0000  0.0000  0.1818 x2
Er  0.0000  0.0000  0.5000 x1
Cu  0.5000  0.5000  0.0000 x1
Cu  0.5000  0.5000  0.3556 x2
O  0.0000  0.5000  0.3820 x2
O  0.5000  0.0000  0.0000 x1
O  0.5000  0.0000  0.3799 x2
O  0.5000  0.5000  0.1603 x2

(7)
KZn2CdB2O6F: theoretical powder X-ray diffraction pattern (CuKα), based on a cell relaxed with PBE.

Largest 12 diffraction maxima, low angle first, 5 to 70 degrees two-theta:
2theta, Rel. int.
11.48, 42
20.95, 30
23.24, 18
30.81, 100
35.25, 57
37.19, 10
40.64, 13
41.36, 10
47.51, 26
60.23, 24
60.52, 23
63.26, 16

Unit cell a=5.0925 b=5.0925 c=15.4133 alpha=90.00 beta=90.00 gamma=120.00
Space group P-31c (No. 163)
Asymmetric unit:
K  0.0000  0.0000  0.2500 x2
Zn  0.3333  0.6667  0.1163 x4
Cd  0.0000  0.0000  0.0000 x2
B  0.3333  0.6667  0.5951 x4
O  0.0683  0.3869  0.9045 x12
F  0.3333  0.6667  0.2500 x2

(8)
Cs2NaGaP2: theoretical powder X-ray diffraction pattern (CuKα), based on a cell relaxed with PBE.

Largest 12 diffraction maxima, low angle first, 5 to 70 degrees two-theta:
2theta, Rel. int.
21.73, 63
27.27, 17
28.27, 29
28.94, 100
29.43, 24
33.00, 17
34.22, 18
35.20, 17
38.05, 45
47.75, 20
49.24, 22
51.24, 21

Unit cell a=6.8484 b=16.2842 c=6.5407 alpha=90.00 beta=90.00 gamma=90.00
Space group Ibam (No. 72)
Asymmetric unit:
Cs  0.2393  0.1719  0.0000 x8
Na  0.0000  0.0000  0.2500 x4
Ga  0.0000  0.5000  0.2500 x4
P  0.1969  0.4196  0.0000 x8

(9)
K8LaP4Se16: theoretical powder X-ray diffraction pattern (CuKα), based on a cell relaxed with PBE.

Largest 12 diffraction maxima, low angle first, 5 to 70 degrees two-theta:
2theta, Rel. int.
9.69, 31
15.80, 62
27.40, 71
27.97, 81
29.08, 42
29.22, 65
30.57, 39
31.57, 43
31.91, 100
33.38, 79
35.28, 31
49.38, 34

Unit cell a=9.2890 b=10.3788 c=19.1393 alpha=90.00 beta=90.00 gamma=90.00
Space group I222 (No. 23)
Asymmetric unit:
K  0.0000  0.0000  0.2353 x4
K  0.0000  0.5000  0.2427 x4
K  0.1212  0.2539  0.5820 x8
La  0.0000  0.5000  0.0000 x2
P  0.2059  0.2517  0.8736 x8
Se  0.0291  0.2668  0.1064 x8
Se  0.1916  0.4209  0.4210 x8
Se  0.2040  0.0744  0.4281 x8
Se  0.2429  0.2502  0.2596 x8

(10)
LiGaAu2: theoretical powder X-ray diffraction pattern (CuKα), based on a cell relaxed with PBE.

Largest 8 diffraction maxima, low angle first, 5 to 70 degrees two-theta:
2theta, Rel. int.
24.22, 5
28.03, 57
40.06, 100
47.36, 3
49.61, 16
57.95, 17
63.73, 1
65.59, 22

Unit cell a=6.3657 b=6.3657 c=6.3657 alpha=90.00 beta=90.00 gamma=90.00
Space group Fm-3m (No. 225)
Asymmetric unit:
Li  0.0000  0.0000  0.0000 x4
Ga  0.0000  0.0000  0.5000 x4
Au  0.2500  0.2500  0.2500 x8